Entry 1:
K2Tl6InAg: calculated X-ray diffraction stick pattern (Cu Kα, 1.54184 Å), based on a cell relaxed with PBE.
Peak positions follow from Bragg's law for the DFT cell and can differ from measured ones.

Crystal structure
```
data_K2Tl6InAg
_chemical_formula_sum 'K12 Tl36 In6 Ag6'
_cell_length_a 7.8642
_cell_length_b 7.8642
_cell_length_c 39.4772
_cell_angle_alpha 90.00
_cell_angle_beta 90.00
_cell_angle_gamma 120.00
_symmetry_space_group_name_H-M 'R -3 m'
_symmetry_Int_Tables_number 166
_symmetry_space_group_name_Hall '-R 3 2"'
loop_
_atom_site_label
_atom_site_type_symbol
_atom_site_fract_x
_atom_site_fract_y
_atom_site_fract_z
K1 K 0.0000 0.0000 0.1033
K2 K 0.0000 0.0000 0.2791
Tl1 Tl 0.0542 0.5271 0.3047
Tl2 Tl 0.0582 0.5291 0.8640
In1 In 0.0000 0.0000 0.4261
Ag1 Ag 0.0000 0.0000 0.0000
Ag2 Ag 0.0000 0.0000 0.5000
```

Peak list (8 most intense, 2θ = 10–90°, by angle)
2theta  I (rel.)  (hkl)
13.46  52  0 0 6
17.19  66  0 1 5
28.55  65  2 0 5
30.67  100  0 2 7
35.16  73  1 2 2
36.37  43  2 0 11
44.96  40  3 0 9
46.17  41  2 2 0

Entry 2:
CdInSnCl5: calculated X-ray diffraction stick pattern (Cu Kα, 1.54184 Å), based on a cell relaxed with PBE.
Peak positions follow from Bragg's law for the DFT cell and can differ from measured ones.

Crystal structure
```
data_CdInSnCl5
_chemical_formula_sum 'Cd4 In4 Sn4 Cl20'
_cell_length_a 9.262
_cell_length_b 12.477
_cell_length_c 10.206
_cell_angle_alpha 90.00
_cell_angle_beta 113.56
_cell_angle_gamma 90.00
_symmetry_space_group_name_H-M 'C 1 2/c 1'
_symmetry_Int_Tables_number 15
loop_
_symmetry_equiv_pos_as_xyz
'x,y,z'
'-x,-y,-z'
'-x,y,-z+1/2'
'x,-y,z+1/2'
'x+1/2,y+1/2,z'
'-x+1/2,-y+1/2,-z'
'-x+1/2,y+1/2,-z+1/2'
'x+1/2,-y+1/2,z+1/2'
loop_
_atom_site_label
_atom_site_type_symbol
_atom_site_fract_x
_atom_site_fract_y
_atom_site_fract_z
Cd1 Cd 0.000 0.181 0.250
In1 In 0.000 0.165 0.750
Sn1 Sn 0.000 0.500 0.000
Cl1 Cl 0.000 0.407 0.750
Cl2 Cl 0.127 0.293 0.122
Cl3 Cl 0.182 0.063 0.445
```

Peak list (8 most intense, 2θ = 10–90°, by angle)
2theta  I (rel.)  (hkl)
19.00  60  1 1 -2
20.93  49  2 0 0
23.80  100  1 3 0
30.53  21  3 1 -2
36.76  21  2 2 2
38.48  39  3 3 0
41.81  22  1 3 -4
44.78  31  4 0 -4